Entry 1:
The following is a simulated XRD peak list of Li5AlGa8. It was derived from a GGA-PBE-relaxed structure, using copper Kα.
Lines closer than 0.1° are merged.

Top 6 peaks for 2θ from 5° to 70°, sorted by position:
2θ/deg	d/Å	I_rel
20.3	4.370	39
28.7	3.106	100
33.0	2.712	47
41.2	2.191	58
43.7	2.069	56
45.2	2.006	59

Atomic structure:
```
Li5AlGa8
1.0
-3.7150 3.7150 4.3697
3.7150 -3.7150 4.3697
3.7150 3.7150 -4.3697
Li Al Ga
5 1 8
Cartesian
0.0000 0.0000 0.0000 Li
1.5394 -1.0378 3.7582 Li
2.6772 2.1757 0.6115 Li
2.1757 4.7528 -0.6115 Li
1.0378 1.5394 4.9812 Li
0.0000 3.7150 2.1849 Al
2.4977 -0.4984 0.9604 Ga
2.9449 2.5602 -2.1174 Ga
4.9324 0.4984 0.9604 Ga
4.2134 -1.2173 3.4094 Ga
0.7701 1.1549 2.2523 Ga
3.2167 1.2173 3.4094 Ga
1.1549 -0.7701 6.4871 Ga
2.5602 4.4851 2.1174 Ga
```

Entry 2:
The following is a simulated XRD peak list of LiAlGa. It was derived from a GGA-PBE-relaxed structure, using copper Kα.
Lines closer than 0.1° are merged.

Top 6 peaks for 2θ from 5° to 70°, sorted by position:
2θ/deg	d/Å	I_rel
15.2	5.844	100
31.5	2.836	34
31.8	2.812	33
38.3	2.352	68
39.0	2.311	65
46.6	1.949	25

Atomic structure:
```
LiAlGa
1.0
4.1804 0.0000 0.0000
0.0000 4.0552 0.0000
-1.9354 0.0000 5.8444
Li Al Ga
2 2 2
Cartesian
0.0176 1.0138 1.0041 Li
2.2273 3.0414 4.8403 Li
0.1370 1.0138 4.8351 Al
2.1080 3.0414 1.0092 Al
0.0704 3.0414 2.8705 Ga
2.1746 1.0138 2.9739 Ga
```

Entry 3:
The following is a simulated XRD peak list of LiAl2Ga6. It was derived from a GGA-PBE-relaxed structure, using copper Kα.
Lines closer than 0.1° are merged.

Top 6 peaks for 2θ from 5° to 70°, sorted by position:
2θ/deg	d/Å	I_rel
17.1	5.191	60
33.1	2.703	34
34.9	2.574	34
36.4	2.470	100
36.5	2.460	57
43.9	2.064	64

Atomic structure:
```
LiAl2Ga6
1.0
6.0382 0.0000 0.0000
0.0000 6.4538 0.0000
-4.5658 0.0000 8.7374
Li Al Ga
2 4 12
Cartesian
0.0000 0.0000 0.0000 Li
-2.2829 3.2269 4.3687 Li
-1.4530 0.6217 7.5077 Al
0.8299 2.6052 3.1390 Al
0.6426 3.8486 5.5985 Al
2.9255 5.8321 1.2297 Al
-0.9848 0.8092 2.5238 Ga
-3.2677 2.4177 6.8926 Ga
1.0604 3.9525 0.5466 Ga
-1.2225 5.7282 4.9153 Ga
-1.3232 4.3844 7.5061 Ga
0.9597 5.2963 3.1373 Ga
0.5128 1.1575 5.6001 Ga
2.7957 2.0694 1.2314 Ga
2.6949 0.7256 3.8221 Ga
0.4120 2.5013 8.1909 Ga
4.7401 4.0361 1.8449 Ga
2.4572 5.6446 6.2136 Ga
```

Entry 4:
The following is a simulated XRD peak list of LiMgAlGa2. It was derived from a GGA-PBE-relaxed structure, using copper Kα.
Lines closer than 0.1° are merged.

Top 6 peaks for 2θ from 5° to 70°, sorted by position:
2θ/deg	d/Å	I_rel
15.4	5.760	26
23.1	3.848	37
27.9	3.200	100
39.1	2.306	81
40.6	2.222	79
57.6	1.600	25

Atomic structure:
```
LiMgAlGa2
1.0
4.4434 0.0000 0.0000
-2.2217 3.8481 0.0000
0.0000 0.0000 5.7600
Li Mg Al Ga
1 1 1 2
Cartesian
0.0000 0.0000 0.0000 Li
0.0000 2.5654 3.8082 Mg
2.2217 1.2827 1.8570 Al
0.0000 0.0000 2.6575 Ga
2.2217 1.2827 4.9247 Ga
```

Entry 5:
The following is a simulated XRD peak list of Li2Pm4AlGa. It was derived from a GGA-PBE-relaxed structure, using copper Kα.
Lines closer than 0.1° are merged.

Top 6 peaks for 2θ from 5° to 70°, sorted by position:
2θ/deg	d/Å	I_rel
24.0	3.711	58
34.2	2.624	100
42.2	2.143	17
49.1	1.856	18
55.4	1.660	24
61.2	1.515	37

Atomic structure:
```
Li2Pm4AlGa
1.0
2.6240 1.5149 8.5721
-2.6240 1.5149 8.5721
0.0000 -3.0299 8.5721
Li Pm Al Ga
2 4 1 1
Cartesian
0.0000 0.0000 6.3659 Li
0.0000 0.0000 19.3505 Li
0.0000 0.0000 3.1853 Pm
0.0000 0.0000 9.6144 Pm
0.0000 0.0000 16.1019 Pm
0.0000 0.0000 22.5310 Pm
0.0000 0.0000 12.8582 Al
0.0000 0.0000 0.0000 Ga
```

Entry 6:
The following is a simulated XRD peak list of LiPm2Al3Ga4. It was derived from a GGA-PBE-relaxed structure, using copper Kα.
Lines closer than 0.1° are merged.

Top 6 peaks for 2θ from 5° to 70°, sorted by position:
2θ/deg	d/Å	I_rel
29.5	3.032	29
32.4	2.759	73
33.9	2.645	100
42.1	2.144	50
47.1	1.931	35
54.2	1.693	34

Atomic structure:
```
LiPm2Al3Ga4
1.0
4.2878 0.0000 0.0000
0.0000 4.2878 0.0000
0.0000 0.0000 10.8143
Li Pm Al Ga
1 2 3 4
Cartesian
0.0000 0.0000 0.0000 Li
0.0000 2.1439 8.0412 Pm
2.1439 0.0000 2.7732 Pm
0.0000 2.1439 3.9242 Al
2.1439 0.0000 6.8901 Al
2.1439 2.1439 0.0000 Al
0.0000 0.0000 5.4072 Ga
0.0000 2.1439 1.4654 Ga
2.1439 0.0000 9.3490 Ga
2.1439 2.1439 5.4072 Ga
```

Entry 7:
The following is a simulated XRD peak list of LiPrAlGa. It was derived from a GGA-PBE-relaxed structure, using copper Kα.
Lines closer than 0.1° are merged.

Top 6 peaks for 2θ from 5° to 70°, sorted by position:
2θ/deg	d/Å	I_rel
22.3	3.981	70
25.8	3.447	17
36.9	2.438	100
43.5	2.079	37
53.1	1.724	17
66.4	1.407	35

Atomic structure:
```
LiPrAlGa
1.0
0.0000 3.4473 3.4473
3.4473 0.0000 3.4473
3.4473 3.4473 0.0000
Li Pr Al Ga
1 1 1 1
Cartesian
0.0000 0.0000 0.0000 Li
5.1709 5.1709 5.1709 Pr
1.7236 1.7236 1.7236 Al
3.4473 3.4473 3.4473 Ga
```

Entry 8:
The following is a simulated XRD peak list of LiScAlGa. It was derived from a GGA-PBE-relaxed structure, using copper Kα.
Lines closer than 0.1° are merged.

Top 6 peaks for 2θ from 5° to 70°, sorted by position:
2θ/deg	d/Å	I_rel
19.7	4.496	45
32.3	2.769	26
38.2	2.358	100
40.1	2.248	22
40.6	2.221	21
58.4	1.580	14

Atomic structure:
```
LiScAlGa
1.0
3.5410 0.0000 0.0000
0.0000 4.4424 0.0000
0.0000 0.0000 4.4965
Li Sc Al Ga
1 1 1 1
Cartesian
0.0000 0.0000 0.0000 Li
0.0000 2.2212 2.2482 Sc
1.7705 2.2212 0.0000 Al
1.7705 0.0000 2.2482 Ga
```

Entry 9:
The following is a simulated XRD peak list of LiTb2AlGa6. It was derived from a GGA-PBE-relaxed structure, using copper Kα.
Lines closer than 0.1° are merged.

Top 6 peaks for 2θ from 5° to 70°, sorted by position:
2θ/deg	d/Å	I_rel
29.0	3.078	81
30.1	2.967	100
37.8	2.380	68
38.6	2.330	55
40.6	2.222	55
40.8	2.212	88

Atomic structure:
```
LiTb2AlGa6
1.0
5.3531 0.0000 0.0000
2.4282 6.0148 0.0000
2.3667 0.9951 6.1532
Li Tb Al Ga
1 2 1 6
Cartesian
0.0000 0.0000 0.0000 Li
4.9908 2.2248 4.5800 Tb
5.1573 4.7851 1.5732 Tb
2.3975 3.5050 3.0766 Al
1.2328 2.0945 1.0964 Ga
2.2932 0.9933 3.6296 Ga
6.2574 5.1392 4.8199 Ga
3.8907 1.8708 1.3333 Ga
7.8549 6.0166 2.5236 Ga
8.9153 4.9155 5.0568 Ga
```

Entry 10:
The following is a simulated XRD peak list of Li2AlGaTe4. It was derived from a GGA-PBE-relaxed structure, using copper Kα.
Lines closer than 0.1° are merged.

Top 6 peaks for 2θ from 5° to 70°, sorted by position:
2θ/deg	d/Å	I_rel
23.6	3.769	52
24.5	3.626	60
25.7	3.464	56
26.7	3.344	100
40.2	2.241	45
44.5	2.035	44

Atomic structure:
```
Li2AlGaTe4
1.0
8.5817 0.0000 0.0000
0.0000 7.8853 0.0000
0.0000 0.0000 7.2530
Li Al Ga Te
4 2 2 8
Cartesian
2.1397 1.3370 0.0000 Li
2.1511 6.5483 3.6265 Li
6.4306 6.5483 3.6265 Li
6.4420 1.3370 0.0000 Li
0.0000 2.7259 3.5945 Al
4.2909 5.1595 7.2210 Al
0.0000 5.1555 7.2326 Ga
4.2909 2.7298 3.6061 Ga
0.0000 2.7061 6.2474 Te
0.0000 5.1774 2.6484 Te
2.1372 1.3477 2.7746 Te
2.1536 6.5376 6.4011 Te
4.2909 2.7080 6.2748 Te
4.2909 5.1793 2.6209 Te
6.4281 6.5376 6.4011 Te
6.4445 1.3477 2.7746 Te
```

Entry 11:
The following is a simulated XRD peak list of LiTh2Al3Ga4. It was derived from a GGA-PBE-relaxed structure, using copper Kα.
Lines closer than 0.1° are merged.

Top 6 peaks for 2θ from 5° to 70°, sorted by position:
2θ/deg	d/Å	I_rel
22.3	3.987	56
29.5	3.031	37
32.4	2.765	81
33.9	2.646	100
42.2	2.143	44
54.1	1.694	39

Atomic structure:
```
LiTh2Al3Ga4
1.0
4.2866 0.0000 0.0000
0.0000 4.2866 0.0000
0.0000 0.0000 10.8538
Li Th Al Ga
1 2 3 4
Cartesian
0.0000 0.0000 0.0000 Li
0.0000 2.1433 8.0575 Th
2.1433 0.0000 2.7963 Th
0.0000 2.1433 3.9450 Al
2.1433 0.0000 6.9088 Al
2.1433 2.1433 0.0000 Al
0.0000 0.0000 5.4269 Ga
0.0000 2.1433 1.4734 Ga
2.1433 0.0000 9.3804 Ga
2.1433 2.1433 5.4269 Ga
```

Entry 12:
The following is a simulated XRD peak list of LiTiAlGa. It was derived from a GGA-PBE-relaxed structure, using copper Kα.
Lines closer than 0.1° are merged.

Top 6 peaks for 2θ from 5° to 70°, sorted by position:
2θ/deg	d/Å	I_rel
22.1	4.021	39
32.4	2.760	30
39.6	2.275	100
45.1	2.010	17
45.8	1.982	16
47.3	1.922	15

Atomic structure:
```
LiTiAlGa
1.0
3.8436 0.0000 0.0000
0.0000 3.9645 0.0000
0.0000 0.0000 4.0208
Li Ti Al Ga
1 1 1 1
Cartesian
0.0000 0.0000 0.0000 Li
0.0000 1.9822 2.0104 Ti
1.9218 1.9822 0.0000 Al
1.9218 0.0000 2.0104 Ga
```

Entry 13:
The following is a simulated XRD peak list of LiAlZnGa. It was derived from a GGA-PBE-relaxed structure, using copper Kα.
Lines closer than 0.1° are merged.

Top 6 peaks for 2θ from 5° to 70°, sorted by position:
2θ/deg	d/Å	I_rel
23.1	3.844	40
31.3	2.854	38
39.3	2.291	100
44.8	2.025	17
45.1	2.011	17
47.3	1.922	15

Atomic structure:
```
LiAlZnGa
1.0
3.8442 0.0000 0.0000
0.0000 4.0221 0.0000
0.0000 0.0000 4.0501
Li Al Zn Ga
1 1 1 1
Cartesian
0.0000 0.0000 0.0000 Li
0.0000 2.0111 2.0250 Al
1.9221 2.0111 0.0000 Zn
1.9221 0.0000 2.0250 Ga
```

Entry 14:
The following is a simulated XRD peak list of Mg4Al5Ga6. It was derived from a GGA-PBE-relaxed structure, using copper Kα.
Lines closer than 0.1° are merged.

Top 6 peaks for 2θ from 5° to 70°, sorted by position:
2θ/deg	d/Å	I_rel
26.3	3.383	64
34.1	2.630	34
36.7	2.446	100
40.6	2.220	31
43.0	2.105	39
44.5	2.037	48

Atomic structure:
```
Mg4Al5Ga6
1.0
2.0374 -10.1319 0.0000
2.0374 10.1319 0.0000
0.0000 0.0000 13.9792
Mg Al Ga
8 10 12
Cartesian
2.0374 9.6004 6.9896 Mg
2.0374 9.2104 10.8636 Mg
2.0374 7.3505 3.9766 Mg
2.0374 6.4707 12.9542 Mg
2.0374 -6.4707 5.9646 Mg
2.0374 -7.3505 10.9661 Mg
2.0374 -9.2104 3.8740 Mg
2.0374 -9.6004 0.0000 Mg
2.0374 6.8420 8.6661 Al
2.0374 3.7784 8.3101 Al
2.0374 3.3934 3.8103 Al
2.0374 2.9684 13.5420 Al
2.0374 0.9729 9.3243 Al
2.0374 -0.9729 2.3347 Al
2.0374 -2.9684 6.5524 Al
2.0374 -3.3934 10.7999 Al
2.0374 -3.7784 1.3205 Al
2.0374 -6.8420 1.6766 Al
2.0374 8.0686 1.1421 Ga
2.0374 5.5636 6.2814 Ga
2.0374 4.9790 10.6265 Ga
2.0374 1.5733 1.8649 Ga
2.0374 1.5660 5.9506 Ga
2.0374 0.9155 11.9445 Ga
2.0374 -0.9155 4.9549 Ga
2.0374 -1.5660 12.9402 Ga
2.0374 -1.5733 8.8545 Ga
2.0374 -4.9790 3.6369 Ga
2.0374 -5.5636 13.2710 Ga
2.0374 -8.0686 8.1317 Ga
```